Diffraction record for Y4InAuO. The powder X-ray diffraction pattern is calculated, not measured: it uses the PBE geometry in Alexandria and Cu Kα, 1.54184 Å.

Main lines, sorted by position (10 to 80 degrees two-theta):
2theta  intensity
19.72  211
26.78  436
29.23  561
34.85  431
35.68  1000
38.23  739
52.69  257
52.81  202
55.17  249
67.46  309

Structural model:
```
Y4InAuO
1.0
3.327 -7.686 0.000
3.327 7.686 0.000
0.000 0.000 6.664
Y In Au O
8 2 2 2
direct
0.000 0.500 0.000 Y
0.000 0.500 0.500 Y
0.063 0.937 0.750 Y
0.418 0.582 0.750 Y
0.500 0.000 0.000 Y
0.500 0.000 0.500 Y
0.582 0.418 0.250 Y
0.937 0.063 0.250 Y
0.385 0.615 0.250 In
0.615 0.385 0.750 In
0.122 0.878 0.250 Au
0.878 0.122 0.750 Au
0.258 0.742 0.750 O
0.742 0.258 0.250 O
```